[1]
For K2HI2ClO6, a DFT-relaxed cell (PBE, Alexandria) gives the computed powder XRD pattern in this record (Cu Kα X-rays).

Structure:
```
K2HI2ClO6
1.0
15.136 0.000 0.000
0.000 6.699 0.000
0.000 0.000 8.812
K H I Cl O
8 4 8 4 24
Cartesian
0.218 0.161 0.000 K
3.549 3.767 8.740 K
4.019 3.767 4.333 K
7.350 0.161 4.406 K
7.786 6.538 0.000 K
11.117 2.932 8.740 K
11.588 2.932 4.333 K
14.919 6.538 4.406 K
1.610 1.904 2.323 H
5.958 1.904 6.729 H
9.178 4.794 2.323 H
13.526 4.794 6.729 H
0.521 3.363 6.520 I
3.303 0.439 6.471 I
4.265 0.439 2.064 I
7.047 3.363 2.114 I
8.089 3.336 6.520 I
10.871 6.260 6.471 I
11.833 6.260 2.064 I
14.615 3.336 2.114 I
1.892 5.213 2.359 Cl
5.676 5.213 6.765 Cl
9.460 1.486 2.359 Cl
13.244 1.486 6.765 Cl
0.602 1.748 2.394 O
0.815 3.032 8.281 O
1.709 1.254 5.951 O
1.955 4.408 6.126 O
2.957 0.100 8.226 O
3.221 1.943 2.208 O
4.348 1.943 6.614 O
4.611 0.100 3.820 O
5.614 4.408 1.720 O
5.859 1.254 1.544 O
6.753 3.032 3.874 O
6.967 1.748 6.801 O
8.170 4.951 2.394 O
8.384 3.667 8.281 O
9.277 5.445 5.951 O
9.523 2.291 6.126 O
10.525 6.599 8.226 O
10.789 4.756 2.208 O
11.916 4.756 6.614 O
12.179 6.599 3.820 O
13.182 2.291 1.720 O
13.427 5.445 1.544 O
14.321 3.667 3.874 O
14.535 4.951 6.801 O
```

Most intense lines, 2θ = 5–70°, most intense first:
Position (°2θ)	d_spacing	I (rel.)
26.9	3.310	100
17.7	5.016	51
28.9	3.086	40
20.2	4.406	39
15.4	5.741	19
23.5	3.784	19



[2]
For NaH2ICl8, a DFT-relaxed cell (PBE, Alexandria) gives the computed powder XRD pattern in this record (Cu Kα X-rays).

Structure:
```
NaH2ICl8
1.0
6.804 0.000 0.000
-0.344 6.940 0.000
-0.824 -0.270 8.016
Na H I Cl
1 2 1 8
Cartesian
0.000 0.000 0.000 Na
1.481 2.171 1.857 H
4.156 4.498 6.159 H
-0.412 -0.135 4.008 I
0.749 5.692 2.340 Cl
0.576 5.822 5.892 Cl
1.074 1.880 4.019 Cl
1.679 2.272 0.564 Cl
3.957 4.398 7.452 Cl
4.563 4.789 3.997 Cl
5.060 0.848 2.124 Cl
4.888 0.978 5.675 Cl
```

Most intense lines, 2θ = 5–70°, most intense first:
Position (°2θ)	d_spacing	I (rel.)
13.1	6.759	100
12.8	6.936	94
11.0	8.016	71
29.3	3.044	56
17.8	4.973	56
29.6	3.022	50



[3]
For Np2HI2Cl4, a DFT-relaxed cell (PBE, Alexandria) gives the computed powder XRD pattern in this record (Cu Kα X-rays).

Structure:
```
Np2HI2Cl4
1.0
8.622 -2.708 0.000
8.622 2.708 0.000
-3.967 0.000 7.265
Np H I Cl
2 1 2 4
Cartesian
-0.902 0.000 1.652 Np
14.179 0.000 5.612 Np
0.000 0.000 0.000 H
-0.109 0.000 4.657 I
13.386 0.000 2.608 I
1.881 0.000 1.027 Cl
7.709 0.000 1.674 Cl
5.568 0.000 5.590 Cl
11.396 0.000 6.237 Cl
```

Most intense lines, 2θ = 5–70°, most intense first:
Position (°2θ)	d_spacing	I (rel.)
17.4	5.099	100
11.7	7.567	76
32.5	2.755	54
24.5	3.631	43
32.1	2.793	42
46.7	1.944	29



[4]
For InH3SCl3, a DFT-relaxed cell (PBE, Alexandria) gives the computed powder XRD pattern in this record (Cu Kα X-rays).

Structure:
```
InH3SCl3
1.0
6.729 0.000 0.000
-0.262 7.350 0.000
-0.445 -0.395 7.753
In H S Cl
2 6 2 6
Cartesian
0.000 0.000 0.000 In
-0.086 3.547 3.720 In
1.296 2.639 7.186 H
2.821 -0.003 3.221 H
2.984 3.601 6.508 H
3.190 1.994 7.690 H
3.601 -0.074 5.045 H
3.492 5.286 3.941 H
2.528 3.214 7.739 S
3.774 7.075 3.773 S
-0.195 1.873 6.422 Cl
0.356 5.850 5.845 Cl
1.116 1.150 1.865 Cl
3.330 3.857 4.110 Cl
3.848 -0.095 7.589 Cl
6.257 5.203 1.274 Cl
```

Most intense lines, 2θ = 5–70°, most intense first:
Position (°2θ)	d_spacing	I (rel.)
13.2	6.713	100
20.9	4.258	83
16.2	5.471	68
32.7	2.736	67
17.0	5.202	61
26.6	3.356	58



[5]
For K2H3IrNCl5, a DFT-relaxed cell (PBE, Alexandria) gives the computed powder XRD pattern in this record (Cu Kα X-rays).

Structure:
```
K2H3IrNCl5
1.0
13.800 0.000 0.000
0.000 9.659 0.000
0.000 0.000 7.723
K H Ir N Cl
8 12 4 4 20
Cartesian
2.219 0.023 0.769 K
2.219 4.806 0.769 K
4.681 4.853 4.631 K
4.681 9.635 4.631 K
9.118 0.023 3.092 K
9.118 4.806 3.092 K
11.581 4.853 6.954 K
11.581 9.635 6.954 K
0.245 6.411 4.162 H
0.245 8.078 4.162 H
1.048 7.244 2.993 H
5.852 2.415 6.855 H
6.655 1.581 0.300 H
6.655 3.248 0.300 H
7.145 6.411 7.423 H
7.145 8.078 7.423 H
7.947 7.244 0.868 H
12.752 2.415 4.730 H
13.555 1.581 3.561 H
13.555 3.248 3.561 H
1.511 2.415 5.330 Ir
5.389 7.244 1.468 Ir
8.411 2.415 6.255 Ir
12.288 7.244 2.393 Ir
0.187 7.244 3.558 N
6.713 2.415 7.420 N
7.087 7.244 0.303 N
13.613 2.415 4.165 N
0.155 2.415 7.289 Cl
1.491 0.045 5.355 Cl
1.491 4.784 5.355 Cl
2.792 2.415 3.318 Cl
3.393 7.244 2.815 Cl
3.507 2.415 6.677 Cl
4.108 7.244 7.180 Cl
5.409 4.875 1.493 Cl
5.409 9.613 1.493 Cl
6.745 7.244 3.428 Cl
7.054 2.415 4.296 Cl
8.391 0.045 6.230 Cl
8.391 4.784 6.230 Cl
9.692 2.415 0.544 Cl
10.293 7.244 1.046 Cl
10.407 2.415 4.908 Cl
11.008 7.244 4.405 Cl
12.309 4.875 2.368 Cl
12.309 9.613 2.368 Cl
13.645 7.244 0.434 Cl
```

Most intense lines, 2θ = 5–70°, most intense first:
Position (°2θ)	d_spacing	I (rel.)
14.7	6.032	100
15.8	5.614	86
17.2	5.146	57
41.3	2.187	35
37.2	2.414	35
25.3	3.521	25



[6]
For K2H2IrCl5O, a DFT-relaxed cell (PBE, Alexandria) gives the computed powder XRD pattern in this record (Cu Kα X-rays).

Structure:
```
K2H2IrCl5O
1.0
13.869 0.000 0.000
0.000 9.137 0.000
0.000 0.000 7.734
K H Ir Cl O
8 8 4 20 4
Cartesian
2.163 0.014 0.879 K
2.163 4.555 0.879 K
4.772 4.583 4.746 K
4.772 9.123 4.746 K
9.098 0.014 2.988 K
9.098 4.555 2.988 K
11.706 4.583 6.854 K
11.706 9.123 6.854 K
0.557 1.486 4.021 H
0.557 3.083 4.021 H
6.378 6.055 0.154 H
6.378 7.651 0.154 H
7.491 1.486 7.580 H
7.491 3.083 7.580 H
13.313 6.055 3.713 H
13.313 7.651 3.713 H
1.407 6.853 5.349 Ir
5.528 2.284 1.482 Ir
8.341 6.853 6.251 Ir
12.463 2.284 2.384 Ir
0.141 6.853 7.356 Cl
1.392 0.086 5.387 Cl
1.392 4.482 5.387 Cl
2.647 6.853 3.317 Cl
3.382 6.853 6.605 Cl
3.552 2.284 2.738 Cl
4.288 2.284 7.184 Cl
5.542 4.655 1.520 Cl
5.542 9.051 1.520 Cl
6.794 2.284 3.489 Cl
7.075 6.853 4.244 Cl
8.327 0.086 6.214 Cl
8.327 4.482 6.214 Cl
9.582 6.853 0.550 Cl
10.317 6.853 4.996 Cl
10.487 2.284 1.129 Cl
11.222 2.284 4.417 Cl
12.477 4.655 2.347 Cl
12.477 9.051 2.347 Cl
13.729 2.284 0.378 Cl
0.414 2.284 3.444 O
6.521 6.853 7.311 O
7.348 2.284 0.423 O
13.455 6.853 4.290 O
```

Most intense lines, 2θ = 5–70°, most intense first:
Position (°2θ)	d_spacing	I (rel.)
15.0	5.903	100
16.0	5.524	84
17.2	5.163	55
28.2	3.166	34
26.0	3.421	27
41.3	2.187	27



[7]
For VHIr2Cl, a DFT-relaxed cell (PBE, Alexandria) gives the computed powder XRD pattern in this record (Cu Kα X-rays).

Structure:
```
VHIr2Cl
1.0
3.718 0.000 0.000
0.000 3.718 0.000
0.000 0.000 4.903
V H Ir Cl
1 1 2 1
Cartesian
0.000 0.000 0.000 V
0.000 0.000 2.452 H
0.000 1.859 2.452 Ir
1.859 0.000 2.452 Ir
1.859 1.859 0.000 Cl
```

Most intense lines, 2θ = 5–70°, most intense first:
Position (°2θ)	d_spacing	I (rel.)
38.9	2.317	100
18.1	4.903	65
36.7	2.452	30
34.1	2.629	28
49.0	1.859	26
62.7	1.481	24



[8]
For K5H4Cl, a DFT-relaxed cell (PBE, Alexandria) gives the computed powder XRD pattern in this record (Cu Kα X-rays).

Structure:
```
K5H4Cl
1.0
2.058 1.188 16.852
-2.058 1.188 16.852
0.000 -2.377 16.852
K H Cl
5 4 1
Cartesian
0.000 0.000 0.000 K
0.000 0.000 10.406 K
0.000 0.000 20.067 K
0.000 0.000 30.489 K
0.000 0.000 40.150 K
0.000 0.000 4.823 H
0.000 0.000 15.248 H
0.000 0.000 35.308 H
0.000 0.000 45.733 H
0.000 0.000 25.278 Cl
```

Most intense lines, 2θ = 5–70°, most intense first:
Position (°2θ)	d_spacing	I (rel.)
30.7	2.914	100
26.5	3.364	85
44.0	2.060	62
5.2	16.852	20
52.0	1.757	20
54.6	1.681	16



[9]
For K2HCl, a DFT-relaxed cell (PBE, Alexandria) gives the computed powder XRD pattern in this record (Cu Kα X-rays).

Structure:
```
K2HCl
1.0
0.000 3.680 3.680
3.680 0.000 3.680
3.680 3.680 0.000
K H Cl
2 1 1
Cartesian
1.840 1.840 1.840 K
5.520 5.520 5.520 K
0.000 0.000 0.000 H
3.680 3.680 3.680 Cl
```

Most intense lines, 2θ = 5–70°, most intense first:
Position (°2θ)	d_spacing	I (rel.)
34.5	2.602	100
61.7	1.502	29
20.9	4.250	23
24.2	3.680	18
49.5	1.840	15
40.7	2.219	10



[10]
For K5HCl4, a DFT-relaxed cell (PBE, Alexandria) gives the computed powder XRD pattern in this record (Cu Kα X-rays).

Structure:
```
K5HCl4
1.0
-2.208 3.155 11.095
2.208 -3.155 11.095
2.208 3.155 -11.095
K H Cl
5 1 4
Cartesian
0.000 0.000 0.000 K
0.000 0.000 4.471 K
0.000 0.000 9.074 K
0.000 0.000 13.116 K
0.000 0.000 17.718 K
0.000 3.155 0.000 H
2.208 0.000 2.193 Cl
2.208 0.000 6.748 Cl
0.000 3.155 4.347 Cl
0.000 3.155 8.902 Cl
```

Most intense lines, 2θ = 5–70°, most intense first:
Position (°2θ)	d_spacing	I (rel.)
28.5	3.130	100
40.6	2.221	84
28.3	3.155	52
66.7	1.402	18
40.9	2.208	17
50.5	1.809	17



[11]
For K4H3Cl4, a DFT-relaxed cell (PBE, Alexandria) gives the computed powder XRD pattern in this record (Cu Kα X-rays).

Structure:
```
K4H3Cl4
1.0
4.310 -2.895 0.000
4.310 2.895 0.000
-0.001 0.000 12.633
K H Cl
4 3 4
Cartesian
0.000 0.000 0.000 K
0.013 0.000 6.327 K
3.127 0.000 3.182 K
3.157 0.000 9.488 K
5.377 0.000 11.827 H
5.622 0.000 7.648 H
6.165 0.000 8.174 H
0.008 0.000 3.162 Cl
0.042 0.000 9.501 Cl
3.130 0.000 6.298 Cl
3.150 0.000 0.036 Cl
```

Most intense lines, 2θ = 5–70°, most intense first:
Position (°2θ)	d_spacing	I (rel.)
34.9	2.574	100
28.3	3.158	97
18.5	4.806	96
20.6	4.310	92
45.5	1.995	83
30.9	2.895	79